No. 1
Diffraction record for Hg4H5Pd6. The XRD peak list is simulated, not measured: it uses a cell relaxed with GGA-PBE and CuKα.
No peak broadening, texture or thermal motion is included.

Largest 8 diffraction maxima, sorted by position, 15° ≤ 2θ ≤ 90°:
Position (°2θ)	d/Å	Rel. int.
26.08	3.417	46
31.94	2.802	44
36.81	2.442	48
36.93	2.434	44
37.33	2.409	35
37.60	2.392	100
39.41	2.286	44
41.90	2.156	57

Cell and atoms:
Cell lengths 3.1149, 13.6684, 9.9073 Å; angles 90.00, 98.87, 90.00 degrees
Sites, in units of the cell vectors:
Hg  0.0243  0.0000  0.0496
Hg  0.0304  0.7149  0.0603
Hg  0.2067  0.2294  0.4100
Hg  0.2125  0.4935  0.4217
Hg  0.7875  0.9935  0.5783
Hg  0.7933  0.7294  0.5900
Hg  0.9696  0.2149  0.9397
Hg  0.9757  0.5000  0.9504
H  0.1485  0.8830  0.3002
H  0.3323  0.2613  0.6565
H  0.3524  0.5684  0.6988
H  0.4054  0.9287  0.8069
H  0.4267  0.7933  0.8518
H  0.5733  0.2933  0.1482
H  0.5946  0.4287  0.1931
H  0.6476  0.0684  0.3012
H  0.6677  0.7613  0.3435
H  0.8515  0.3830  0.6998
Pd  0.0834  0.3608  0.1683
Pd  0.1658  0.0127  0.3381
Pd  0.1697  0.6997  0.3480
Pd  0.3959  0.3566  0.7901
Pd  0.4035  0.0545  0.8104
Pd  0.4071  0.6679  0.8202
Pd  0.5929  0.1679  0.1798
Pd  0.5965  0.5545  0.1896
Pd  0.6041  0.8566  0.2099
Pd  0.8303  0.1997  0.6520
Pd  0.8342  0.5127  0.6619
Pd  0.9166  0.8608  0.8317

---

No. 2
Diffraction record for Hg2H4Pd7. The XRD peak list is simulated, not measured: it uses a cell relaxed with GGA-PBE and CuKα.
No peak broadening, texture or thermal motion is included.

Largest 8 diffraction maxima, sorted by position, 15° ≤ 2θ ≤ 90°:
Position (°2θ)	d/Å	Rel. int.
37.29	2.411	100
38.31	2.349	30
43.62	2.075	44
43.66	2.073	21
62.71	1.482	21
64.09	1.453	14
75.28	1.262	13
75.91	1.253	16

Cell and atoms:
Cell lengths 5.1303, 5.1330, 7.0476 Å; angles 90.04, 90.05, 119.98 degrees
Sites, in units of the cell vectors:
Hg  0.1666  0.3333  0.9998
Hg  0.8334  0.6667  0.0002
H  0.1664  0.3337  0.4818
H  0.4997  0.9999  0.2620
H  0.5003  0.0001  0.7380
H  0.8336  0.6663  0.5182
Pd  0.1584  0.0004  0.3358
Pd  0.1587  0.6584  0.6642
Pd  0.5000  0.0000  0.0000
Pd  0.5003  0.3415  0.6642
Pd  0.4997  0.6585  0.3358
Pd  0.8413  0.3416  0.3358
Pd  0.8416  0.9996  0.6642

---

No. 3
Diffraction record for Hg2H3Pd4. The XRD peak list is simulated, not measured: it uses a cell relaxed with GGA-PBE and CuKα.
No peak broadening, texture or thermal motion is included.

Largest 8 diffraction maxima, sorted by position, 15° ≤ 2θ ≤ 90°:
Position (°2θ)	d/Å	Rel. int.
37.36	2.407	100
39.15	2.301	22
39.51	2.281	21
50.81	1.797	14
56.84	1.620	15
69.77	1.348	16
70.26	1.340	16
79.68	1.203	11

Cell and atoms:
Cell lengths 7.4287, 7.4287, 7.4287 Å; angles 143.91, 104.24, 86.90 degrees
Sites, in units of the cell vectors:
Hg  0.1241  0.2444  0.3685
Hg  0.3759  0.7444  0.1203
Hg  0.6241  0.2556  0.8797
Hg  0.8759  0.7556  0.6315
H  0.0069  0.2500  0.7569
H  0.2500  0.7500  0.5000
H  0.4931  0.2500  0.2431
H  0.5069  0.7500  0.7569
H  0.7500  0.2500  0.5000
H  0.9931  0.7500  0.2431
Pd  0.0354  0.4150  0.1287
Pd  0.2138  0.0850  0.6205
Pd  0.2862  0.9067  0.8713
Pd  0.4646  0.5933  0.3795
Pd  0.5354  0.4067  0.6205
Pd  0.7138  0.0933  0.1287
Pd  0.7862  0.9150  0.3795
Pd  0.9646  0.5850  0.8713

---

No. 4
Diffraction record for HgH4Pd6. The XRD peak list is simulated, not measured: it uses a cell relaxed with GGA-PBE and CuKα.
No peak broadening, texture or thermal motion is included.

Largest 8 diffraction maxima, sorted by position, 15° ≤ 2θ ≤ 90°:
Position (°2θ)	d/Å	Rel. int.
31.05	2.880	22
37.37	2.406	100
38.44	2.342	49
38.61	2.332	56
41.62	2.170	43
43.17	2.095	25
44.04	2.056	19
46.55	1.951	28

Cell and atoms:
Cell lengths 4.9710, 10.6481, 4.9824 Å; angles 90.00, 97.67, 90.00 degrees
Sites, in units of the cell vectors:
Hg  0.0371  0.2500  0.1573
Hg  0.9629  0.7500  0.8427
H  0.0701  0.5766  0.3277
H  0.0701  0.9234  0.3277
H  0.4388  0.6196  0.5791
H  0.4388  0.8804  0.5791
H  0.5612  0.1196  0.4209
H  0.5612  0.3804  0.4209
H  0.9299  0.0766  0.6723
H  0.9299  0.4234  0.6723
Pd  0.0000  0.0000  0.0000
Pd  0.0000  0.5000  0.0000
Pd  0.2539  0.0650  0.5416
Pd  0.2539  0.4350  0.5416
Pd  0.2603  0.7500  0.3850
Pd  0.4810  0.6241  0.9349
Pd  0.4810  0.8759  0.9349
Pd  0.5190  0.1241  0.0651
Pd  0.5190  0.3759  0.0651
Pd  0.7397  0.2500  0.6150
Pd  0.7461  0.5650  0.4584
Pd  0.7461  0.9350  0.4584

---

No. 5
Diffraction record for HgH5Pd8. The XRD peak list is simulated, not measured: it uses a cell relaxed with GGA-PBE and CuKα.
No peak broadening, texture or thermal motion is included.

Largest 8 diffraction maxima, sorted by position, 15° ≤ 2θ ≤ 90°:
Position (°2θ)	d/Å	Rel. int.
37.26	2.413	100
37.62	2.391	48
37.80	2.380	48
43.31	2.089	32
43.41	2.084	32
43.94	2.061	30
63.58	1.463	30
75.25	1.263	12

Cell and atoms:
Cell lengths 2.9773, 7.1736, 7.7079 Å; angles 90.10, 101.08, 90.12 degrees
Sites, in units of the cell vectors:
Hg  0.0000  0.0000  0.0000
H  0.2127  0.0924  0.4231
H  0.2238  0.5959  0.4465
H  0.3416  0.2756  0.6797
H  0.5517  0.5729  0.1041
H  0.7833  0.9075  0.5673
Pd  0.1092  0.6668  0.2189
Pd  0.2212  0.3373  0.4452
Pd  0.3371  0.0068  0.6740
Pd  0.4423  0.6716  0.8861
Pd  0.5588  0.3243  0.1191
Pd  0.6637  0.9909  0.3270
Pd  0.7844  0.6616  0.5692
Pd  0.8988  0.3458  0.7974

---

No. 6
Diffraction record for Hg4H3Pd2. The XRD peak list is simulated, not measured: it uses a cell relaxed with GGA-PBE and CuKα.
No peak broadening, texture or thermal motion is included.

Largest 8 diffraction maxima, sorted by position, 15° ≤ 2θ ≤ 90°:
Position (°2θ)	d/Å	Rel. int.
28.33	3.151	100
31.13	2.873	77
31.88	2.807	75
41.70	2.166	30
42.51	2.127	32
43.02	2.102	27
43.30	2.090	34
43.45	2.083	25

Cell and atoms:
Cell lengths 2.8925, 5.6478, 9.8473 Å; angles 106.07, 90.42, 96.26 degrees
Sites, in units of the cell vectors:
Hg  0.0055  0.2667  0.0338
Hg  0.0261  0.9020  0.3240
Hg  0.9739  0.0980  0.6760
Hg  0.9945  0.7333  0.9662
H  0.4826  0.6415  0.7502
H  0.5000  0.5000  0.5000
H  0.5174  0.3585  0.2498
Pd  0.0385  0.4172  0.3538
Pd  0.9615  0.5828  0.6462

---

No. 7
Diffraction record for Hg2H5Pd4. The XRD peak list is simulated, not measured: it uses a cell relaxed with GGA-PBE and CuKα.
No peak broadening, texture or thermal motion is included.

Largest 8 diffraction maxima, sorted by position, 15° ≤ 2θ ≤ 90°:
Position (°2θ)	d/Å	Rel. int.
28.99	3.080	44
30.15	2.964	53
32.23	2.777	100
36.69	2.449	50
37.15	2.420	52
39.26	2.295	66
39.59	2.277	83
45.06	2.012	43

Cell and atoms:
Cell lengths 3.0999, 3.0355, 13.8375 Å; angles 90.00, 95.73, 90.00 degrees
Sites, in units of the cell vectors:
Hg  0.0000  0.0000  0.0000
Hg  0.0875  0.5000  0.1862
H  0.3647  0.5000  0.7380
H  0.4489  0.5000  0.8866
H  0.6372  0.0000  0.3000
H  0.7270  0.0000  0.4462
H  0.7898  0.0000  0.5961
Pd  0.2576  0.0000  0.5191
Pd  0.4164  0.0000  0.8244
Pd  0.6715  0.5000  0.3626
Pd  0.8357  0.5000  0.6702

---

No. 8
Diffraction record for Hg2H3Pd8. The XRD peak list is simulated, not measured: it uses a cell relaxed with GGA-PBE and CuKα.
No peak broadening, texture or thermal motion is included.

Largest 8 diffraction maxima, sorted by position, 15° ≤ 2θ ≤ 90°:
Position (°2θ)	d/Å	Rel. int.
33.64	2.664	77
37.52	2.397	81
39.09	2.304	62
40.55	2.225	56
41.44	2.179	89
42.27	2.138	100
66.43	1.407	29
76.17	1.250	25

Cell and atoms:
Cell lengths 7.3691, 7.3691, 4.7991 Å; angles 106.78, 106.78, 46.83 degrees
Sites, in units of the cell vectors:
Hg  0.2464  0.2464  0.0097
Hg  0.7536  0.7536  0.9903
H  0.1474  0.8526  0.5000
H  0.5000  0.5000  0.0000
H  0.8526  0.1474  0.5000
Pd  0.1280  0.1280  0.3975
Pd  0.1935  0.6766  0.1673
Pd  0.3234  0.8065  0.8327
Pd  0.3634  0.3634  0.6119
Pd  0.6366  0.6366  0.3881
Pd  0.6766  0.1935  0.1673
Pd  0.8065  0.3234  0.8327
Pd  0.8720  0.8720  0.6025